Record 1
Calculated X-ray powder pattern
Compound: SnPPt
Radiation: Cu Kα (λ = 1.5418 Å)
Structure: a crystal structure in Alexandria, relaxed with PBE
Intensities are scaled so that the largest is 100.

```
SnPPt
1.0
6.3695 0.0000 0.0000
0.0000 6.3423 0.0000
-2.5409 0.0000 5.8605
Sn P Pt
4 4 4
Cartesian
0.0907 0.8095 2.0999
-1.1797 2.3617 5.0302
5.0083 3.9806 0.8303
3.7379 5.5328 3.7606
0.4954 4.0163 3.9487
1.7659 5.4972 1.0184
2.0627 0.8451 4.8421
3.3332 2.3260 1.9119
1.1285 3.2903 1.7351
-0.1419 6.2231 4.6654
3.9705 0.1192 1.1952
2.7001 3.0520 4.1254
```

Peak list (10 most intense, 2θ from 5° to 70°, most intense first)
| d (Å) | I/Imax |
| --- | --- |
| 4.082 | 100.0 |
| 2.926 | 82.0 |
| 3.172 | 57.1 |
| 2.014 | 37.3 |
| 2.150 | 36.7 |
| 2.009 | 36.0 |
| 1.712 | 36.0 |
| 1.810 | 32.2 |
| 2.726 | 31.1 |
| 1.965 | 28.2 |

=====

Record 2
Calculated X-ray powder pattern
Compound: SnP2Pt2
Radiation: Cu Kα (λ = 1.5418 Å)
Structure: a crystal structure in Alexandria, relaxed with PBE
Intensities are scaled so that the largest is 100.

```
SnP2Pt2
1.0
7.7203 0.0000 0.0000
0.0000 7.7203 0.0000
0.0000 0.0000 2.9648
Sn P Pt
2 4 4
Cartesian
0.0000 0.0000 0.0000
3.8602 3.8602 0.0000
1.0795 2.7807 0.0000
2.7807 6.6408 0.0000
4.9396 1.0795 0.0000
6.6408 4.9396 0.0000
1.0215 4.8816 1.4824
2.8387 1.0215 1.4824
4.8816 6.6989 1.4824
6.6989 2.8387 1.4824
```

Peak list (10 most intense, 2θ from 5° to 70°, most intense first)
| d (Å) | I/Imax |
| --- | --- |
| 2.249 | 100.0 |
| 3.453 | 79.8 |
| 2.441 | 77.2 |
| 2.605 | 51.7 |
| 1.618 | 33.9 |
| 1.736 | 28.4 |
| 2.141 | 16.5 |
| 1.551 | 15.5 |
| 1.365 | 14.4 |
| 1.930 | 14.2 |

=====

Record 3
Calculated X-ray powder pattern
Compound: TmSn2P2Pt7
Radiation: Cu Kα (λ = 1.5418 Å)
Structure: a crystal structure in Alexandria, relaxed with PBE
Intensities are scaled so that the largest is 100.

```
TmSn2P2Pt7
1.0
2.7801 -2.7788 0.0000
2.7801 2.7788 0.0000
-2.7677 0.0000 15.0273
Tm Sn P Pt
1 2 2 7
Cartesian
0.0000 0.0000 0.0000
0.0065 0.0000 6.3871
2.7859 0.0000 8.6402
0.0092 0.0000 11.5007
2.7832 0.0000 3.5267
1.3902 1.3885 2.1931
0.0022 0.0000 9.1911
1.4023 1.3885 12.8342
2.7801 0.0000 0.0000
1.3902 -1.3885 2.1931
2.7902 0.0000 5.8362
1.4023 -1.3885 12.8342
```

Peak list (10 most intense, 2θ from 5° to 70°, most intense first)
| d (Å) | I/Imax |
| --- | --- |
| 15.027 | 100.0 |
| 2.430 | 87.7 |
| 1.965 | 53.3 |
| 2.041 | 37.4 |
| 2.607 | 36.4 |
| 2.733 | 31.0 |
| 3.757 | 21.6 |
| 7.514 | 20.3 |
| 2.234 | 19.4 |
| 1.450 | 19.2 |

=====

Record 4
Calculated X-ray powder pattern
Compound: Sr8PPt2
Radiation: Cu Kα (λ = 1.5418 Å)
Structure: a crystal structure in Alexandria, relaxed with PBE
Intensities are scaled so that the largest is 100.

```
Sr8PPt2
1.0
6.4024 0.0000 0.0000
0.0006 9.4939 0.0000
0.0008 4.7427 8.2266
Sr P Pt
8 1 2
Cartesian
1.4105 4.7465 2.7434
1.6471 6.9955 6.9393
1.6470 9.4828 2.5948
1.6470 11.9959 6.9199
4.7568 2.2407 1.3067
4.7568 4.7538 5.6318
4.7566 7.2411 1.2873
4.9933 9.4901 5.4832
3.2012 0.0000 0.0000
1.8734 9.4902 5.4834
4.5304 4.7464 2.7432
```

Peak list (10 most intense, 2θ from 5° to 70°, most intense first)
| d (Å) | I/Imax |
| --- | --- |
| 5.052 | 100.0 |
| 2.374 | 98.0 |
| 4.112 | 88.5 |
| 4.748 | 84.2 |
| 1.907 | 79.2 |
| 2.796 | 65.7 |
| 2.526 | 65.4 |
| 3.201 | 60.0 |
| 3.460 | 37.1 |
| 2.230 | 35.8 |

=====

Record 5
Calculated X-ray powder pattern
Compound: SrP2Pt8
Radiation: Cu Kα (λ = 1.5418 Å)
Structure: a crystal structure in Alexandria, relaxed with PBE
Intensities are scaled so that the largest is 100.

```
SrP2Pt8
1.0
-2.7086 2.7086 8.1304
2.7086 -2.7086 8.1304
2.7086 2.7086 -8.1304
Sr P Pt
1 2 8
Cartesian
0.0000 0.0000 0.0000
2.7086 0.0000 4.0652
0.0000 2.7086 4.0652
1.3636 1.3636 -2.5714
1.3450 -1.3450 5.5590
1.3636 1.3636 2.5714
1.3450 -1.3450 10.7018
-1.3450 1.3450 5.5590
1.3450 1.3450 5.5590
-1.3450 1.3450 10.7018
1.3450 1.3450 10.7018
```

Peak list (10 most intense, 2θ from 5° to 70°, most intense first)
| d (Å) | I/Imax |
| --- | --- |
| 2.709 | 100.0 |
| 1.916 | 84.7 |
| 8.130 | 79.4 |
| 2.254 | 55.4 |
| 4.065 | 35.7 |
| 1.564 | 28.5 |
| 2.570 | 24.1 |
| 1.394 | 16.5 |
| 1.354 | 15.1 |
| 1.733 | 14.2 |

=====

Record 6
Calculated X-ray powder pattern
Compound: Ta4PPt
Radiation: Cu Kα (λ = 1.5418 Å)
Structure: a crystal structure in Alexandria, relaxed with PBE
Intensities are scaled so that the largest is 100.

```
Ta4PPt
1.0
0.0000 3.8044 3.8044
3.8044 0.0000 3.8044
3.8044 3.8044 0.0000
Ta P Pt
4 1 1
Cartesian
0.9533 0.9533 0.9533
2.8510 2.8510 0.9533
2.8510 0.9533 2.8510
0.9533 2.8510 2.8510
3.8044 3.8044 3.8044
5.7065 5.7065 5.7065
```

Peak list (10 most intense, 2θ from 5° to 70°, most intense first)
| d (Å) | I/Imax |
| --- | --- |
| 2.294 | 100.0 |
| 2.196 | 56.9 |
| 4.393 | 33.2 |
| 1.464 | 33.0 |
| 1.345 | 29.4 |
| 2.690 | 13.9 |
| 1.902 | 12.6 |
| 3.804 | 8.9 |
| 1.746 | 8.6 |
| 1.553 | 5.3 |

=====

Record 7
Calculated X-ray powder pattern
Compound: Tb2PPt6
Radiation: Cu Kα (λ = 1.5418 Å)
Structure: a crystal structure in Alexandria, relaxed with PBE
Intensities are scaled so that the largest is 100.

```
Tb2PPt6
1.0
4.8720 -2.8234 0.0000
4.8720 2.8234 0.0000
-1.4040 0.0000 5.8599
Tb P Pt
2 1 6
Cartesian
0.8910 0.0000 2.0547
7.4489 0.0000 3.8052
4.1700 0.0000 2.9299
3.3157 1.4317 1.1438
2.5373 0.0000 4.6223
5.0243 1.4317 4.7160
3.3157 -1.4317 1.1438
5.8026 0.0000 1.2375
5.0243 -1.4317 4.7160
```

Peak list (10 most intense, 2θ from 5° to 70°, most intense first)
| d (Å) | I/Imax |
| --- | --- |
| 2.342 | 100.0 |
| 2.152 | 71.7 |
| 2.369 | 53.8 |
| 2.930 | 48.7 |
| 2.096 | 29.7 |
| 1.407 | 23.7 |
| 2.385 | 14.6 |
| 1.892 | 12.9 |
| 1.412 | 12.2 |
| 2.267 | 12.0 |

=====

Record 8
Calculated X-ray powder pattern
Compound: Te2P2Pt
Radiation: Cu Kα (λ = 1.5418 Å)
Structure: a crystal structure in Alexandria, relaxed with PBE
Intensities are scaled so that the largest is 100.

```
Te2P2Pt
1.0
3.7020 0.0000 0.0000
0.0000 7.3378 0.0000
0.0000 0.0000 8.0588
Te P Pt
4 4 2
Cartesian
0.0000 0.0000 1.8477
0.0000 0.0000 6.2111
1.8510 3.6689 2.1817
1.8510 3.6689 5.8770
0.0000 1.7042 4.0294
0.0000 5.6336 4.0294
1.8510 1.9647 0.0000
1.8510 5.3730 0.0000
0.0000 3.6689 0.0000
1.8510 0.0000 4.0294
```

Peak list (10 most intense, 2θ from 5° to 70°, most intense first)
| d (Å) | I/Imax |
| --- | --- |
| 2.555 | 100.0 |
| 3.669 | 51.0 |
| 5.426 | 49.5 |
| 1.821 | 41.2 |
| 2.479 | 41.0 |
| 2.523 | 23.0 |
| 2.015 | 15.1 |
| 3.364 | 14.6 |
| 1.851 | 13.3 |
| 1.371 | 12.7 |